This entry pairs a crystal structure of Er5Se4S with its calculated X-ray powder pattern. Radiation: Cu Kα X-rays. Structure: DFT lattice parameters and positions (PBE).

```
Er5Se4S
1.0
1.9985 1.1538 16.3912
-1.9985 1.1538 16.3912
0.0000 -2.3077 16.3912
Er Se S
5 4 1
Direct
0.0000 0.0000 0.0000 Er
0.1962 0.1962 0.1962 Er
0.4007 0.4007 0.4007 Er
0.5993 0.5993 0.5993 Er
0.8038 0.8038 0.8038 Er
0.1019 0.1019 0.1019 Se
0.2995 0.2995 0.2995 Se
0.7005 0.7005 0.7005 Se
0.8981 0.8981 0.8981 Se
0.5000 0.5000 0.5000 S
```

Most intense lines, 2θ from 10° to 90°, by angle:
two_theta, d/Å, intensity
27.31, 3.265, 23.3
31.61, 2.831, 100.0
45.24, 2.004, 34.9
45.38, 1.998, 37.3
53.74, 1.706, 10.9
56.36, 1.633, 19.3
66.01, 1.415, 11.3
74.93, 1.267, 14.2
75.14, 1.264, 16.5
83.74, 1.155, 11.9

---

This entry pairs a crystal structure of Er3SeS3 with its calculated X-ray powder pattern. Radiation: Cu Kα X-rays. Structure: DFT lattice parameters and positions (PBE).

```
Er3SeS3
1.0
-5.5682 5.5682 5.5682
5.5682 -5.5682 5.5682
5.5682 5.5682 -5.5682
Er Se S
12 4 12
Direct
0.2398 0.7500 0.2602 Er
0.2398 0.9898 0.9797 Er
0.2602 0.2398 0.7500 Er
0.2602 0.5203 0.5102 Er
0.5102 0.2602 0.5203 Er
0.5102 0.7500 0.9898 Er
0.5203 0.5102 0.2602 Er
0.7500 0.2602 0.2398 Er
0.7500 0.9898 0.5102 Er
0.9797 0.2398 0.9898 Er
0.9898 0.5102 0.7500 Er
0.9898 0.9797 0.2398 Er
0.0000 0.2500 0.5000 Se
0.2500 0.2500 0.2500 Se
0.2500 0.5000 0.0000 Se
0.5000 0.0000 0.2500 Se
0.0059 0.0119 0.7559 S
0.0059 0.4941 0.2500 S
0.0119 0.7559 0.0059 S
0.2500 0.0059 0.4941 S
0.2500 0.7441 0.7559 S
0.4881 0.4941 0.7441 S
0.4941 0.2500 0.0059 S
0.4941 0.7441 0.4881 S
0.7441 0.4881 0.4941 S
0.7441 0.7559 0.2500 S
0.7559 0.0059 0.0119 S
0.7559 0.2500 0.7441 S
```

Most intense lines, 2θ from 10° to 90°, by angle:
two_theta, d/Å, intensity
11.24, 7.875, 39.2
19.53, 4.546, 20.9
25.29, 3.522, 25.9
27.75, 3.215, 40.8
32.15, 2.784, 100.0
46.11, 1.969, 69.8
54.67, 1.679, 18.2
57.32, 1.607, 23.4
76.51, 1.245, 28.1
85.42, 1.137, 20.9

---

This entry pairs a crystal structure of Er2SeS with its calculated X-ray powder pattern. Radiation: Cu Kα X-rays. Structure: DFT lattice parameters and positions (PBE).

```
Er2SeS
1.0
1.9290 1.1137 6.8250
-1.9290 1.1137 6.8250
0.0000 -2.2274 6.8250
Er Se S
2 1 1
Direct
0.0000 0.0000 0.0000 Er
0.1850 0.1850 0.1850 Er
0.7603 0.7603 0.7603 Se
0.5904 0.5904 0.5904 S
```

Most intense lines, 2θ from 10° to 90°, by angle:
two_theta, d/Å, intensity
27.04, 3.297, 53.5
28.09, 3.176, 21.5
31.99, 2.798, 44.6
34.65, 2.589, 100.0
41.01, 2.201, 29.4
47.11, 1.929, 50.8
52.41, 1.746, 17.2
59.79, 1.547, 20.5
74.20, 1.278, 17.9
79.41, 1.207, 18.2

---

This entry pairs a crystal structure of Er4Se3S with its calculated X-ray powder pattern. Radiation: Cu Kα X-rays. Structure: DFT lattice parameters and positions (PBE).

```
Er4Se3S
1.0
4.0281 -5.6644 0.0000
4.0281 5.6644 0.0000
0.0000 0.0000 3.9658
Er Se S
4 3 1
Direct
0.2278 0.2278 0.5000 Er
0.2368 0.7632 0.0000 Er
0.7632 0.2368 0.0000 Er
0.7722 0.7722 0.5000 Er
0.0000 0.5000 0.5000 Se
0.5000 0.0000 0.5000 Se
0.5000 0.5000 0.0000 Se
0.0000 0.0000 0.0000 S
```

Most intense lines, 2θ from 10° to 90°, by angle:
two_theta, d/Å, intensity
27.16, 3.283, 15.7
27.45, 3.249, 16.4
31.64, 2.828, 100.0
45.01, 2.014, 11.6
45.33, 2.000, 47.3
45.76, 1.983, 12.3
56.03, 1.641, 11.6
56.67, 1.624, 12.5
75.02, 1.266, 9.4
75.14, 1.264, 9.7

---

This entry pairs a crystal structure of Er4SeS3 with its calculated X-ray powder pattern. Radiation: Cu Kα X-rays. Structure: DFT lattice parameters and positions (PBE).

```
Er4SeS3
1.0
5.5299 0.0000 0.0000
0.0000 5.5299 0.0000
0.0000 0.0000 5.5299
Er Se S
4 1 3
Direct
0.0000 0.0000 0.0000 Er
0.0000 0.5000 0.5000 Er
0.5000 0.0000 0.5000 Er
0.5000 0.5000 0.0000 Er
0.5000 0.5000 0.5000 Se
0.0000 0.0000 0.5000 S
0.0000 0.5000 0.0000 S
0.5000 0.0000 0.0000 S
```

Most intense lines, 2θ from 10° to 90°, by angle:
two_theta, d/Å, intensity
16.03, 5.530, 1.5
27.95, 3.193, 62.7
32.38, 2.765, 100.0
46.45, 1.955, 72.5
55.08, 1.667, 30.6
57.75, 1.596, 25.2
67.78, 1.382, 11.6
74.84, 1.269, 12.4
77.14, 1.237, 32.4
86.15, 1.129, 25.1

---

This entry pairs a crystal structure of Er3Se2S with its calculated X-ray powder pattern. Radiation: Cu Kα X-rays. Structure: DFT lattice parameters and positions (PBE).

```
Er3Se2S
1.0
3.9800 0.0000 0.0000
-1.9900 3.4467 0.0000
0.0000 0.0000 9.7480
Er Se S
3 2 1
Direct
0.0000 0.0000 0.0000 Er
0.3333 0.6667 0.6504 Er
0.6667 0.3333 0.3496 Er
0.3333 0.6667 0.1724 Se
0.6667 0.3333 0.8276 Se
0.0000 0.0000 0.5000 S
```

Most intense lines, 2θ from 10° to 90°, by angle:
two_theta, d/Å, intensity
27.45, 3.250, 37.9
31.80, 2.814, 100.0
38.06, 2.364, 3.5
45.59, 1.990, 70.9
54.04, 1.697, 17.0
56.65, 1.625, 24.5
66.44, 1.407, 11.0
73.32, 1.291, 8.4
75.55, 1.259, 30.0
84.29, 1.149, 22.8

---

This entry pairs a crystal structure of Er3TeSeS with its calculated X-ray powder pattern. Radiation: Cu Kα X-rays. Structure: DFT lattice parameters and positions (PBE).

```
Er3TeSeS
1.0
3.3817 -7.1614 0.0000
3.3817 7.1614 0.0000
-2.1146 0.0000 6.3696
Er Te Se S
6 2 2 2
Direct
0.1638 0.3085 0.9989 Er
0.2446 0.7554 0.7500 Er
0.3085 0.1638 0.4989 Er
0.6915 0.8362 0.5011 Er
0.7554 0.2446 0.2500 Er
0.8362 0.6915 0.0011 Er
0.2514 0.7486 0.2500 Te
0.7486 0.2514 0.7500 Te
0.4369 0.5631 0.7500 Se
0.5631 0.4369 0.2500 Se
0.0599 0.9401 0.7500 S
0.9401 0.0599 0.2500 S
```

Most intense lines, 2θ from 10° to 90°, by angle:
two_theta, d/Å, intensity
23.40, 3.801, 46.4
24.77, 3.595, 50.2
29.38, 3.040, 75.1
30.52, 2.929, 75.6
30.72, 2.910, 75.4
32.79, 2.732, 100.0
37.67, 2.388, 92.6
38.86, 2.317, 37.0
46.04, 1.971, 38.5
50.79, 1.797, 48.1

---

This entry pairs a crystal structure of Y2ErSe2S2 with its calculated X-ray powder pattern. Radiation: Cu Kα X-rays. Structure: DFT lattice parameters and positions (PBE).

```
Y2ErSe2S2
1.0
-2.5203 2.5203 7.2318
2.5203 -2.5203 7.2318
2.5203 2.5203 -7.2318
Y Er Se S
2 1 2 2
Direct
0.1202 0.1202 0.0000 Y
0.8798 0.8798 0.0000 Y
0.5000 0.5000 0.0000 Er
0.3105 0.3105 0.0000 Se
0.6895 0.6895 0.0000 Se
0.0000 0.5000 0.5000 S
0.5000 0.0000 0.5000 S
```

Most intense lines, 2θ from 10° to 90°, by angle:
two_theta, d/Å, intensity
12.24, 7.232, 23.4
24.98, 3.564, 100.0
25.57, 3.484, 18.1
35.62, 2.520, 67.3
35.79, 2.509, 86.8
51.26, 1.782, 23.2
51.39, 1.778, 61.0
57.85, 1.594, 19.7
75.54, 1.259, 19.2
86.37, 1.127, 24.3

---

This entry pairs a crystal structure of Er8Zn3Se4S with its calculated X-ray powder pattern. Radiation: Cu Kα X-rays. Structure: DFT lattice parameters and positions (PBE).

```
Er8Zn3Se4S
1.0
3.9679 2.2909 6.8720
-3.9679 2.2909 6.8720
0.0000 -4.5818 6.8720
Er Zn Se S
8 3 4 1
Direct
0.2461 0.2461 0.7510 Er
0.2461 0.7510 0.2461 Er
0.2491 0.2491 0.2491 Er
0.2490 0.7539 0.7539 Er
0.7510 0.2461 0.2461 Er
0.7509 0.7509 0.7509 Er
0.7539 0.2490 0.7539 Er
0.7539 0.7539 0.2490 Er
0.0000 0.5000 0.5000 Zn
0.5000 0.0000 0.5000 Zn
0.5000 0.5000 0.0000 Zn
0.0000 0.0000 0.5000 Se
0.0000 0.5000 0.0000 Se
0.5000 0.0000 0.0000 Se
0.5000 0.5000 0.5000 Se
0.0000 0.0000 0.0000 S
```

Most intense lines, 2θ from 10° to 90°, by angle:
two_theta, d/Å, intensity
27.36, 3.260, 22.1
31.29, 2.859, 100.0
43.92, 2.062, 39.0
45.73, 1.984, 34.9
53.32, 1.718, 14.6
56.45, 1.630, 18.6
65.27, 1.430, 11.9
72.82, 1.299, 17.2
75.49, 1.259, 15.7
83.32, 1.160, 12.2

---

This entry pairs a crystal structure of ErSi2S4 with its calculated X-ray powder pattern. Radiation: Cu Kα X-rays. Structure: DFT lattice parameters and positions (PBE).

```
ErSi2S4
1.0
-3.5713 3.5713 3.2002
3.5713 -3.5713 3.2002
3.5713 3.5713 -3.2002
Er Si S
1 2 4
Direct
0.0000 0.0000 0.0000 Er
0.2500 0.7500 0.5000 Si
0.7500 0.2500 0.5000 Si
0.1741 0.3320 0.5061 S
0.3320 0.8259 0.1579 S
0.6680 0.1741 0.8421 S
0.8259 0.6680 0.4939 S
```

Most intense lines, 2θ from 10° to 90°, by angle:
two_theta, d/Å, intensity
18.61, 4.767, 100.0
24.93, 3.571, 20.7
27.88, 3.200, 21.2
31.30, 2.858, 80.9
33.14, 2.703, 33.8
35.55, 2.525, 25.8
39.91, 2.259, 15.8
48.08, 1.892, 16.8
49.39, 1.845, 46.6
51.51, 1.774, 19.3

---

This entry pairs a crystal structure of Er4SiS4 with its calculated X-ray powder pattern. Radiation: Cu Kα X-rays. Structure: DFT lattice parameters and positions (PBE).

```
Er4SiS4
1.0
-4.4302 4.4302 2.7353
4.4302 -4.4302 2.7353
4.4302 4.4302 -2.7353
Er Si S
4 1 4
Direct
0.1044 0.2972 0.4015 Er
0.2972 0.8956 0.1928 Er
0.7028 0.1044 0.8072 Er
0.8956 0.7028 0.5985 Er
0.0000 0.0000 0.0000 Si
0.1883 0.6023 0.7907 S
0.3977 0.1883 0.5860 S
0.6023 0.8117 0.4140 S
0.8117 0.3977 0.2093 S
```

Most intense lines, 2θ from 10° to 90°, by angle:
two_theta, d/Å, intensity
14.14, 6.265, 25.0
19.07, 4.655, 25.4
27.80, 3.209, 100.0
31.94, 2.802, 90.8
32.74, 2.735, 41.2
45.80, 1.981, 32.2
46.39, 1.957, 63.4
54.42, 1.686, 31.2
57.43, 1.605, 32.7
85.18, 1.139, 21.4

---

This entry pairs a crystal structure of SmEr3S4 with its calculated X-ray powder pattern. Radiation: Cu Kα X-rays. Structure: DFT lattice parameters and positions (PBE).

```
SmEr3S4
1.0
5.5200 0.0000 0.0000
0.0000 5.5200 0.0000
0.0000 0.0000 5.5200
Sm Er S
1 3 4
Direct
0.0000 0.0000 0.0000 Sm
0.0000 0.5000 0.5000 Er
0.5000 0.0000 0.5000 Er
0.5000 0.5000 0.0000 Er
0.0000 0.0000 0.5000 S
0.0000 0.5000 0.0000 S
0.5000 0.0000 0.0000 S
0.5000 0.5000 0.5000 S
```

Most intense lines, 2θ from 10° to 90°, by angle:
two_theta, d/Å, intensity
28.00, 3.187, 82.8
32.44, 2.760, 100.0
46.53, 1.952, 72.0
55.19, 1.664, 40.3
57.87, 1.593, 24.9
67.92, 1.380, 11.5
75.00, 1.266, 16.4
77.30, 1.234, 32.1
86.34, 1.127, 24.9

---

This entry pairs a crystal structure of Sm2ErS3 with its calculated X-ray powder pattern. Radiation: Cu Kα X-rays. Structure: DFT lattice parameters and positions (PBE).

```
Sm2ErS3
1.0
3.9613 0.0000 0.0000
-1.9807 3.4306 0.0000
0.0000 0.0000 9.7053
Sm Er S
2 1 3
Direct
0.3333 0.6667 0.1687 Sm
0.6667 0.3333 0.8313 Sm
0.0000 0.0000 0.5000 Er
0.0000 0.0000 0.0000 S
0.3333 0.6667 0.6558 S
0.6667 0.3333 0.3442 S
```

Most intense lines, 2θ from 10° to 90°, by angle:
two_theta, d/Å, intensity
27.58, 3.235, 79.9
31.95, 2.801, 100.0
45.81, 1.981, 72.0
54.31, 1.689, 39.6
56.94, 1.617, 24.9
66.79, 1.401, 11.5
73.71, 1.285, 16.1
75.96, 1.253, 31.8
84.77, 1.144, 24.3